For Ac2PmIn, a DFT-relaxed cell (PBE, Alexandria) gives the theoretical powder diffractogram in this record (Cu Kα (λ = 1.5418 Å)).

Top 10 peaks for 10 to 80 degrees two-theta, by angle:
| Position (°2θ) | I/Imax |
| --- | --- |
| 23.20 | 27 |
| 25.72 | 29 |
| 28.49 | 35 |
| 28.64 | 37 |
| 29.13 | 61 |
| 31.97 | 29 |
| 32.55 | 100 |
| 37.11 | 38 |
| 55.78 | 23 |
| 56.29 | 31 |

Structural model:
```
Ac2PmIn
1.0
3.880 0.000 0.000
0.000 24.934 0.000
0.000 0.000 6.265
Ac Pm In
8 4 4
Direct
0.000 0.117 0.000
0.000 0.243 0.636
0.000 0.757 0.136
0.000 0.883 0.500
0.500 0.257 0.136
0.500 0.383 0.500
0.500 0.617 0.000
0.500 0.743 0.636
0.000 0.030 0.522
0.000 0.970 0.022
0.500 0.470 0.022
0.500 0.530 0.522
0.000 0.365 0.980
0.000 0.635 0.480
0.500 0.135 0.480
0.500 0.865 0.980
```

For AcPm15In4, a DFT-relaxed cell (PBE, Alexandria) gives the theoretical powder diffractogram in this record (Cu Kα (λ = 1.5418 Å)).

Top 10 peaks for 10 to 80 degrees two-theta, by angle:
| Position (°2θ) | I/Imax |
| --- | --- |
| 28.97 | 2 |
| 30.86 | 100 |
| 35.24 | 15 |
| 36.05 | 34 |
| 51.31 | 21 |
| 51.91 | 12 |
| 60.54 | 11 |
| 61.62 | 28 |
| 64.29 | 13 |
| 76.48 | 4 |

Structural model:
```
AcPm15In4
1.0
4.982 0.000 0.000
0.000 4.982 0.000
0.000 0.000 25.465
Ac Pm In
1 15 4
Direct
0.000 0.000 0.000
0.000 0.500 0.110
0.000 0.500 0.305
0.000 0.500 0.500
0.000 0.500 0.695
0.000 0.500 0.890
0.500 0.000 0.110
0.500 0.000 0.305
0.500 0.000 0.500
0.500 0.000 0.695
0.500 0.000 0.890
0.500 0.500 0.000
0.500 0.500 0.209
0.500 0.500 0.402
0.500 0.500 0.598
0.500 0.500 0.791
0.000 0.000 0.208
0.000 0.000 0.403
0.000 0.000 0.597
0.000 0.000 0.792
```

For AcPm7In2, a DFT-relaxed cell (PBE, Alexandria) gives the theoretical powder diffractogram in this record (Cu Kα (λ = 1.5418 Å)).

Top 10 peaks for 10 to 80 degrees two-theta, by angle:
| Position (°2θ) | I/Imax |
| --- | --- |
| 15.43 | 45 |
| 19.05 | 42 |
| 24.68 | 36 |
| 27.63 | 84 |
| 29.93 | 100 |
| 31.14 | 85 |
| 33.43 | 97 |
| 34.08 | 95 |
| 43.74 | 71 |
| 53.35 | 42 |

Structural model:
```
AcPm7In2
1.0
4.635 -7.806 0.000
4.635 7.806 0.000
0.000 0.000 5.744
Ac Pm In
1 7 2
Direct
0.000 0.000 0.000
0.056 0.304 0.500
0.239 0.761 0.000
0.304 0.056 0.500
0.500 0.500 0.500
0.696 0.944 0.500
0.761 0.239 0.000
0.944 0.696 0.500
0.303 0.697 0.500
0.697 0.303 0.500
```

For AcPmIn4, a DFT-relaxed cell (PBE, Alexandria) gives the theoretical powder diffractogram in this record (Cu Kα (λ = 1.5418 Å)).

Top 10 peaks for 10 to 80 degrees two-theta, by angle:
| Position (°2θ) | I/Imax |
| --- | --- |
| 28.99 | 50 |
| 29.99 | 30 |
| 31.07 | 100 |
| 34.30 | 44 |
| 36.08 | 20 |
| 37.15 | 31 |
| 48.46 | 16 |
| 52.75 | 14 |
| 56.49 | 23 |
| 66.44 | 14 |

Structural model:
```
AcPmIn4
1.0
4.840 0.000 0.000
0.000 7.749 0.000
0.000 0.000 9.318
Ac Pm In
2 2 8
Direct
0.000 0.000 0.000
0.500 0.500 0.500
0.000 0.500 0.119
0.500 0.000 0.619
0.000 0.195 0.395
0.000 0.295 0.715
0.000 0.705 0.715
0.000 0.805 0.395
0.500 0.205 0.215
0.500 0.305 0.895
0.500 0.695 0.895
0.500 0.795 0.215
```

For AcPm2PrIn4, a DFT-relaxed cell (PBE, Alexandria) gives the theoretical powder diffractogram in this record (Cu Kα (λ = 1.5418 Å)).

Top 10 peaks for 10 to 80 degrees two-theta, by angle:
| Position (°2θ) | I/Imax |
| --- | --- |
| 22.62 | 3 |
| 32.20 | 100 |
| 39.71 | 1 |
| 46.19 | 18 |
| 52.02 | 2 |
| 57.40 | 28 |
| 57.47 | 10 |
| 67.32 | 6 |
| 67.43 | 6 |
| 76.65 | 16 |

Structural model:
```
AcPm2PrIn4
1.0
2.778 1.604 9.092
-2.778 1.604 9.092
0.000 -3.207 9.092
Ac Pm Pr In
1 2 1 4
Direct
0.000 0.000 0.000
0.250 0.250 0.250
0.750 0.750 0.750
0.500 0.500 0.500
0.127 0.127 0.127
0.377 0.377 0.377
0.623 0.623 0.623
0.873 0.873 0.873
```

For AcPmTlIn, a DFT-relaxed cell (PBE, Alexandria) gives the theoretical powder diffractogram in this record (Cu Kα (λ = 1.5418 Å)).

Top 10 peaks for 10 to 80 degrees two-theta, by angle:
| Position (°2θ) | I/Imax |
| --- | --- |
| 24.97 | 8 |
| 31.67 | 100 |
| 31.79 | 51 |
| 45.23 | 8 |
| 45.58 | 19 |
| 56.34 | 18 |
| 56.57 | 39 |
| 66.16 | 11 |
| 74.96 | 6 |
| 75.50 | 17 |

Structural model:
```
AcPmTlIn
1.0
3.981 0.000 0.000
0.000 3.981 0.000
0.000 0.000 8.019
Ac Pm Tl In
1 1 1 1
Direct
0.000 0.000 0.000
0.000 0.000 0.494
0.500 0.500 0.724
0.500 0.500 0.268
```

For AcPmYIn, a DFT-relaxed cell (PBE, Alexandria) gives the theoretical powder diffractogram in this record (Cu Kα (λ = 1.5418 Å)).

Top 10 peaks for 10 to 80 degrees two-theta, by angle:
| Position (°2θ) | I/Imax |
| --- | --- |
| 19.05 | 11 |
| 31.36 | 100 |
| 36.95 | 7 |
| 44.94 | 19 |
| 49.22 | 3 |
| 55.82 | 39 |
| 59.53 | 3 |
| 65.43 | 12 |
| 68.84 | 3 |
| 74.35 | 17 |

Structural model:
```
AcPmYIn
1.0
8.069 0.000 0.000
0.000 8.069 0.000
0.000 0.000 8.069
Ac Pm Y In
4 4 4 4
Direct
0.000 0.000 0.000
0.000 0.500 0.500
0.500 0.000 0.500
0.500 0.500 0.000
0.250 0.250 0.750
0.250 0.750 0.250
0.750 0.250 0.250
0.750 0.750 0.750
0.000 0.000 0.500
0.000 0.500 0.000
0.500 0.000 0.000
0.500 0.500 0.500
0.250 0.250 0.250
0.250 0.750 0.750
0.750 0.250 0.750
0.750 0.750 0.250
```

For AcPr5In6, a DFT-relaxed cell (PBE, Alexandria) gives the theoretical powder diffractogram in this record (Cu Kα (λ = 1.5418 Å)).

Top 10 peaks for 10 to 80 degrees two-theta, by angle:
| Position (°2θ) | I/Imax |
| --- | --- |
| 22.59 | 2 |
| 29.03 | 1 |
| 32.16 | 100 |
| 46.08 | 12 |
| 46.19 | 6 |
| 51.95 | 1 |
| 57.33 | 37 |
| 67.27 | 11 |
| 76.48 | 10 |
| 76.64 | 5 |

Structural model:
```
AcPr5In6
1.0
-2.786 3.931 8.356
2.786 -3.931 8.356
2.786 3.931 -8.356
Ac Pr In
1 5 6
Direct
0.000 0.000 0.000
0.161 0.661 0.500
0.330 0.330 0.000
0.500 0.000 0.500
0.670 0.670 0.000
0.839 0.339 0.500
0.088 0.830 0.258
0.267 0.500 0.767
0.429 0.170 0.258
0.571 0.830 0.742
0.733 0.500 0.233
0.912 0.170 0.742
```

For Ac5Pr4In4, a DFT-relaxed cell (PBE, Alexandria) gives the theoretical powder diffractogram in this record (Cu Kα (λ = 1.5418 Å)).

Top 10 peaks for 10 to 80 degrees two-theta, by angle:
| Position (°2θ) | I/Imax |
| --- | --- |
| 26.12 | 30 |
| 29.31 | 100 |
| 29.48 | 21 |
| 32.21 | 21 |
| 33.73 | 23 |
| 34.45 | 26 |
| 45.96 | 13 |
| 48.98 | 16 |
| 52.19 | 14 |
| 58.58 | 15 |

Structural model:
```
Ac5Pr4In4
1.0
-6.775 6.775 2.604
6.775 -6.775 2.604
6.775 6.775 -2.604
Ac Pr In
5 4 4
Direct
0.000 0.000 0.000
0.301 0.618 0.919
0.382 0.301 0.683
0.618 0.699 0.317
0.699 0.382 0.081
0.099 0.408 0.506
0.408 0.901 0.309
0.592 0.099 0.691
0.901 0.592 0.494
0.079 0.758 0.837
0.242 0.079 0.321
0.758 0.921 0.679
0.921 0.242 0.163
```

For AcPr6In, a DFT-relaxed cell (PBE, Alexandria) gives the theoretical powder diffractogram in this record (Cu Kα (λ = 1.5418 Å)).

Top 10 peaks for 10 to 80 degrees two-theta, by angle:
| Position (°2θ) | I/Imax |
| --- | --- |
| 25.95 | 2 |
| 29.86 | 100 |
| 33.93 | 17 |
| 34.95 | 33 |
| 49.50 | 24 |
| 50.26 | 12 |
| 58.21 | 14 |
| 59.56 | 28 |
| 62.03 | 12 |
| 73.82 | 4 |

Structural model:
```
AcPr6In
1.0
5.134 0.000 0.000
0.000 5.134 0.000
0.000 0.000 10.570
Ac Pr In
1 6 1
Direct
0.000 0.000 0.000
0.000 0.500 0.264
0.000 0.500 0.736
0.500 0.000 0.264
0.500 0.000 0.736
0.500 0.500 0.000
0.500 0.500 0.500
0.000 0.000 0.500
```

For Ac2PrIn3, a DFT-relaxed cell (PBE, Alexandria) gives the theoretical powder diffractogram in this record (Cu Kα (λ = 1.5418 Å)).

Top 10 peaks for 10 to 80 degrees two-theta, by angle:
| Position (°2θ) | I/Imax |
| --- | --- |
| 22.08 | 7 |
| 31.27 | 100 |
| 31.42 | 51 |
| 44.58 | 9 |
| 45.03 | 19 |
| 55.56 | 18 |
| 55.84 | 39 |
| 65.23 | 11 |
| 73.79 | 7 |
| 74.49 | 17 |

Structural model:
```
Ac2PrIn3
1.0
4.026 0.000 0.000
0.000 4.026 0.000
0.000 0.000 12.194
Ac Pr In
2 1 3
Direct
0.000 0.000 0.173
0.000 0.000 0.827
0.000 0.000 0.500
0.500 0.500 0.000
0.500 0.500 0.349
0.500 0.500 0.651
```

For Ac14PrIn, a DFT-relaxed cell (PBE, Alexandria) gives the theoretical powder diffractogram in this record (Cu Kα (λ = 1.5418 Å)).

Top 10 peaks for 10 to 80 degrees two-theta, by angle:
| Position (°2θ) | I/Imax |
| --- | --- |
| 24.06 | 2 |
| 27.85 | 100 |
| 32.27 | 51 |
| 46.29 | 38 |
| 54.89 | 47 |
| 57.55 | 13 |
| 67.54 | 6 |
| 68.12 | 1 |
| 74.56 | 19 |
| 76.84 | 17 |

Structural model:
```
Ac14PrIn
1.0
11.103 0.000 0.000
0.000 5.547 5.546
0.000 -5.547 5.546
Ac Pr In
14 1 1
Direct
0.000 0.000 0.000
0.000 0.000 0.500
0.000 0.500 0.000
0.000 0.500 0.500
0.258 0.247 0.247
0.258 0.247 0.752
0.258 0.752 0.247
0.259 0.752 0.752
0.500 0.000 0.499
0.500 0.499 0.000
0.741 0.752 0.752
0.742 0.247 0.247
0.742 0.247 0.752
0.742 0.752 0.247
0.500 0.500 0.500
0.500 0.000 0.000
```

For Ac7PrIn4, a DFT-relaxed cell (PBE, Alexandria) gives the theoretical powder diffractogram in this record (Cu Kα (λ = 1.5418 Å)).

Top 10 peaks for 10 to 80 degrees two-theta, by angle:
| Position (°2θ) | I/Imax |
| --- | --- |
| 26.32 | 56 |
| 27.29 | 78 |
| 27.96 | 48 |
| 28.20 | 21 |
| 28.48 | 100 |
| 28.72 | 23 |
| 30.47 | 39 |
| 33.41 | 86 |
| 39.16 | 40 |
| 53.65 | 22 |

Structural model:
```
Ac7PrIn4
1.0
7.811 -3.134 0.000
7.811 3.134 0.000
-6.263 0.000 9.494
Ac Pr In
7 1 4
Direct
0.000 0.000 0.000
0.220 0.220 0.664
0.296 0.296 0.118
0.433 0.433 0.606
0.567 0.567 0.394
0.704 0.704 0.882
0.780 0.780 0.336
0.500 0.500 0.000
0.051 0.051 0.748
0.180 0.180 0.336
0.820 0.820 0.664
0.949 0.949 0.252
```

For AcPrYIn, a DFT-relaxed cell (PBE, Alexandria) gives the theoretical powder diffractogram in this record (Cu Kα (λ = 1.5418 Å)).

Top 10 peaks for 10 to 80 degrees two-theta, by angle:
| Position (°2θ) | I/Imax |
| --- | --- |
| 18.91 | 4 |
| 21.87 | 8 |
| 31.12 | 100 |
| 36.67 | 3 |
| 38.36 | 3 |
| 44.59 | 19 |
| 50.19 | 4 |
| 55.37 | 39 |
| 64.89 | 12 |
| 73.71 | 17 |

Structural model:
```
AcPrYIn
1.0
8.129 0.000 0.000
0.000 8.129 0.000
0.000 0.000 8.129
Ac Pr Y In
4 4 4 4
Direct
0.000 0.000 0.000
0.000 0.500 0.500
0.500 0.000 0.500
0.500 0.500 0.000
0.000 0.000 0.500
0.000 0.500 0.000
0.500 0.000 0.000
0.500 0.500 0.500
0.250 0.250 0.750
0.250 0.750 0.250
0.750 0.250 0.250
0.750 0.750 0.750
0.250 0.250 0.250
0.250 0.750 0.750
0.750 0.250 0.750
0.750 0.750 0.250
```